The following is a theoretical powder diffractogram of Ac2Ag2SnO6. It was derived from the PBE geometry in Alexandria, using Cu Ka.
Intensities are scaled so that the largest is 100.

Peak list (10 most intense, 2θ = 15–90°, in order of rising 2θ)
two_theta	I_rel
19.71	26
28.12	51
28.50	55
29.82	100
32.15	59
36.63	23
44.02	25
49.28	27
49.75	27
53.88	25

Cell: 6.506 6.506 6.445 Å, 94.90 94.90 121.46°
Positions (direct):
Ac1 0.163 0.837 0.000
Ac2 0.837 0.163 0.000
Ag1 0.359 0.641 0.500
Ag2 0.641 0.359 0.500
Sn1 0.500 0.500 0.000
O1 0.183 0.183 0.854
O2 0.249 0.542 0.175
O3 0.458 0.751 0.825
O4 0.542 0.249 0.175
O5 0.751 0.458 0.825
O6 0.817 0.817 0.146